Structure and computed X-ray powder pattern of Na6Pm (a DFT-relaxed cell (PBE, Alexandria); Cu Kα X-rays).

abc: 7.119 7.119 7.119
angles: 109.47 109.47 109.47
Fractional positions:
Na (0.250, 0.500, 0.750)
Na (0.250, 0.750, 0.500)
Na (0.500, 0.250, 0.750)
Na (0.500, 0.750, 0.250)
Na (0.750, 0.250, 0.500)
Na (0.750, 0.500, 0.250)
Pm (0.000, 0.000, 0.000)

Peak list (6 most intense, 5° ≤ 2θ ≤ 70°, by angle)
d = 5.813 Å, intensity 44.5; d = 4.110 Å, intensity 41.6; d = 3.356 Å, intensity 100.0; d = 2.197 Å, intensity 61.7; d = 1.838 Å, intensity 17.7; d = 1.501 Å, intensity 17.9



Structure and computed X-ray powder pattern of Ho5InAu2 (a DFT-relaxed cell (PBE, Alexandria); Cu Kα X-rays).

abc: 8.684 8.684 8.684
angles: 124.89 124.89 81.72
Fractional positions:
Ho (0.000, 0.000, 0.000)
Ho (0.013, 0.513, 0.814)
Ho (0.199, 0.013, 0.500)
Ho (0.301, 0.801, 0.814)
Ho (0.487, 0.301, 0.500)
Ho (0.500, 0.500, 0.000)
Ho (0.513, 0.699, 0.500)
Ho (0.699, 0.199, 0.186)
Ho (0.801, 0.987, 0.500)
Ho (0.987, 0.487, 0.186)
In (0.250, 0.250, 0.000)
In (0.750, 0.750, 0.000)
Au (0.136, 0.364, 0.500)
Au (0.364, 0.864, 0.228)
Au (0.636, 0.136, 0.772)
Au (0.864, 0.636, 0.500)

Peak list (6 most intense, 5° ≤ 2θ ≤ 70°, by angle)
d = 6.568 Å, intensity 13.9; d = 2.842 Å, intensity 14.9; d = 2.778 Å, intensity 100.0; d = 2.541 Å, intensity 64.8; d = 2.121 Å, intensity 13.1; d = 1.412 Å, intensity 18.0



Structure and computed X-ray powder pattern of Tb2Pm7Nd (a DFT-relaxed cell (PBE, Alexandria); Cu Kα X-rays).

abc: 10.428 10.428 3.513
angles: 90.00 90.00 109.18
Fractional positions:
Tb (0.170, 0.830, 0.000)
Tb (0.830, 0.170, 0.000)
Pm (0.125, 0.387, 0.000)
Pm (0.324, 0.676, 0.500)
Pm (0.387, 0.125, 0.000)
Pm (0.500, 0.500, 0.000)
Pm (0.613, 0.875, 0.000)
Pm (0.676, 0.324, 0.500)
Pm (0.875, 0.613, 0.000)
Nd (0.000, 0.000, 0.500)

Peak list (6 most intense, 5° ≤ 2θ ≤ 70°, by angle)
d = 3.476 Å, intensity 44.3; d = 3.021 Å, intensity 79.6; d = 2.898 Å, intensity 100.0; d = 2.833 Å, intensity 31.3; d = 2.398 Å, intensity 71.0; d = 1.494 Å, intensity 27.7



Structure and computed X-ray powder pattern of La2HoAl12Co3 (a DFT-relaxed cell (PBE, Alexandria); Cu Kα X-rays).

abc: 7.976 7.976 7.976
angles: 63.96 63.96 63.96
Fractional positions:
La (0.083, 0.083, 0.083)
La (0.917, 0.917, 0.917)
Ho (0.500, 0.500, 0.500)
Al (0.029, 0.660, 0.660)
Al (0.226, 0.226, 0.593)
Al (0.226, 0.593, 0.226)
Al (0.340, 0.340, 0.971)
Al (0.340, 0.971, 0.340)
Al (0.407, 0.774, 0.774)
Al (0.593, 0.226, 0.226)
Al (0.660, 0.029, 0.660)
Al (0.660, 0.660, 0.029)
Al (0.774, 0.407, 0.774)
Al (0.774, 0.774, 0.407)
Al (0.971, 0.340, 0.340)
Co (0.000, 0.500, 0.500)
Co (0.500, 0.000, 0.500)
Co (0.500, 0.500, 0.000)

Peak list (6 most intense, 5° ≤ 2θ ≤ 70°, by angle)
d = 4.224 Å, intensity 100.0; d = 3.412 Å, intensity 89.5; d = 3.363 Å, intensity 67.2; d = 2.655 Å, intensity 92.6; d = 2.537 Å, intensity 88.3; d = 2.112 Å, intensity 70.7



Structure and computed X-ray powder pattern of Na6Ti11O24 (a DFT-relaxed cell (PBE, Alexandria); Cu Kα X-rays).

abc: 6.222 6.222 15.093
angles: 91.37 91.37 58.68
Fractional positions:
Na (0.000, 0.000, 0.000)
Na (0.152, 0.152, 0.204)
Na (0.164, 0.164, 0.456)
Na (0.495, 0.495, 0.127)
Na (0.505, 0.505, 0.872)
Na (0.845, 0.845, 0.793)
Ti (0.003, 0.498, 0.998)
Ti (0.161, 0.654, 0.335)
Ti (0.172, 0.172, 0.833)
Ti (0.339, 0.339, 0.662)
Ti (0.345, 0.839, 0.662)
Ti (0.496, 0.496, 0.503)
Ti (0.498, 0.003, 0.998)
Ti (0.654, 0.161, 0.335)
Ti (0.669, 0.669, 0.344)
Ti (0.822, 0.822, 0.162)
Ti (0.839, 0.345, 0.662)
O (0.035, 0.461, 0.737)
O (0.037, 0.037, 0.741)
O (0.102, 0.661, 0.093)
O (0.171, 0.171, 0.599)
O (0.184, 0.184, 0.062)
O (0.219, 0.649, 0.588)
O (0.321, 0.321, 0.925)
O (0.340, 0.897, 0.908)
O (0.350, 0.777, 0.410)
O (0.354, 0.354, 0.413)
O (0.461, 0.035, 0.737)
O (0.483, 0.483, 0.271)
O (0.509, 0.509, 0.728)
O (0.534, 0.964, 0.265)
O (0.644, 0.644, 0.586)
O (0.649, 0.219, 0.588)
O (0.661, 0.102, 0.093)
O (0.680, 0.680, 0.076)
O (0.777, 0.350, 0.410)
O (0.816, 0.816, 0.937)
O (0.826, 0.826, 0.404)
O (0.897, 0.340, 0.908)
O (0.962, 0.962, 0.260)
O (0.964, 0.534, 0.265)

Peak list (6 most intense, 5° ≤ 2θ ≤ 70°, by angle)
d = 5.148 Å, intensity 95.2; d = 5.029 Å, intensity 49.1; d = 4.992 Å, intensity 100.0; d = 2.620 Å, intensity 68.0; d = 2.607 Å, intensity 59.4; d = 2.186 Å, intensity 95.0



Structure and computed X-ray powder pattern of Ac3Tl4GeSe8 (a DFT-relaxed cell (PBE, Alexandria); Cu Kα X-rays).

abc: 9.123 9.123 9.123
angles: 58.81 58.81 58.81
Fractional positions:
Ac (0.000, 0.500, 0.500)
Ac (0.500, 0.000, 0.500)
Ac (0.500, 0.500, 0.000)
Tl (0.000, 0.000, 0.500)
Tl (0.000, 0.500, 0.000)
Tl (0.500, 0.000, 0.000)
Tl (0.500, 0.500, 0.500)
Ge (0.000, 0.000, 0.000)
Se (0.230, 0.230, 0.755)
Se (0.230, 0.755, 0.230)
Se (0.245, 0.770, 0.770)
Se (0.258, 0.258, 0.258)
Se (0.742, 0.742, 0.742)
Se (0.755, 0.230, 0.230)
Se (0.770, 0.245, 0.770)
Se (0.770, 0.770, 0.245)

Peak list (6 most intense, 5° ≤ 2θ ≤ 70°, by angle)
d = 3.668 Å, intensity 24.4; d = 3.195 Å, intensity 100.0; d = 2.280 Å, intensity 37.4; d = 2.240 Å, intensity 38.2; d = 1.834 Å, intensity 20.4; d = 1.419 Å, intensity 17.5



Structure and computed X-ray powder pattern of LaNd3Ho6 (a DFT-relaxed cell (PBE, Alexandria); Cu Kα X-rays).

abc: 6.939 6.939 6.939
angles: 91.62 91.62 91.62
Fractional positions:
La (0.000, 0.000, 0.000)
Nd (0.250, 0.250, 0.250)
Nd (0.500, 0.500, 0.500)
Nd (0.750, 0.750, 0.750)
Ho (0.000, 0.329, 0.671)
Ho (0.175, 0.825, 0.500)
Ho (0.329, 0.671, 0.000)
Ho (0.500, 0.175, 0.825)
Ho (0.671, 0.000, 0.329)
Ho (0.825, 0.500, 0.175)

Peak list (6 most intense, 5° ≤ 2θ ≤ 70°, by angle)
d = 3.065 Å, intensity 71.1; d = 2.873 Å, intensity 100.0; d = 2.096 Å, intensity 24.4; d = 1.693 Å, intensity 24.9; d = 1.659 Å, intensity 19.5; d = 1.611 Å, intensity 14.3



Structure and computed X-ray powder pattern of RbTi2InBr8 (a DFT-relaxed cell (PBE, Alexandria); Cu Kα X-rays).

abc: 7.192 7.192 10.999
angles: 90.00 90.00 120.00
Fractional positions:
Rb (0.000, 0.000, 0.000)
Ti (0.333, 0.667, 0.772)
Ti (0.667, 0.333, 0.228)
In (0.000, 0.000, 0.500)
Br (0.014, 0.340, 0.706)
Br (0.326, 0.986, 0.706)
Br (0.333, 0.667, 0.992)
Br (0.340, 0.326, 0.294)
Br (0.660, 0.674, 0.706)
Br (0.667, 0.333, 0.008)
Br (0.674, 0.014, 0.294)
Br (0.986, 0.660, 0.294)

Peak list (6 most intense, 5° ≤ 2θ ≤ 70°, by angle)
d = 5.420 Å, intensity 38.8; d = 3.418 Å, intensity 100.0; d = 3.010 Å, intensity 94.8; d = 2.184 Å, intensity 33.9; d = 2.076 Å, intensity 54.2; d = 1.657 Å, intensity 23.9



Structure and computed X-ray powder pattern of BaHgH2 (a DFT-relaxed cell (PBE, Alexandria); Cu Kα X-rays).

abc: 7.762 6.129 7.227
angles: 90.00 90.00 90.00
Fractional positions:
Ba (0.154, 0.250, 0.142)
Ba (0.346, 0.750, 0.642)
Ba (0.654, 0.250, 0.358)
Ba (0.846, 0.750, 0.858)
Hg (0.046, 0.250, 0.629)
Hg (0.454, 0.750, 0.129)
Hg (0.546, 0.250, 0.871)
Hg (0.954, 0.750, 0.371)
H (0.133, 0.507, 0.849)
H (0.133, 0.993, 0.849)
H (0.367, 0.007, 0.349)
H (0.367, 0.493, 0.349)
H (0.633, 0.507, 0.651)
H (0.633, 0.993, 0.651)
H (0.867, 0.007, 0.151)
H (0.867, 0.493, 0.151)

Peak list (6 most intense, 5° ≤ 2θ ≤ 70°, by angle)
d = 3.278 Å, intensity 78.4; d = 3.065 Å, intensity 44.9; d = 2.986 Å, intensity 38.8; d = 2.889 Å, intensity 100.0; d = 2.238 Å, intensity 20.6; d = 1.734 Å, intensity 33.5



- Which formula does entry 7 have?
  LaNd3Ho6



Repeat the fourth record exactly.
Structure and computed X-ray powder pattern of La2HoAl12Co3 (a DFT-relaxed cell (PBE, Alexandria); Cu Kα X-rays).

abc: 7.976 7.976 7.976
angles: 63.96 63.96 63.96
Fractional positions:
La (0.083, 0.083, 0.083)
La (0.917, 0.917, 0.917)
Ho (0.500, 0.500, 0.500)
Al (0.029, 0.660, 0.660)
Al (0.226, 0.226, 0.593)
Al (0.226, 0.593, 0.226)
Al (0.340, 0.340, 0.971)
Al (0.340, 0.971, 0.340)
Al (0.407, 0.774, 0.774)
Al (0.593, 0.226, 0.226)
Al (0.660, 0.029, 0.660)
Al (0.660, 0.660, 0.029)
Al (0.774, 0.407, 0.774)
Al (0.774, 0.774, 0.407)
Al (0.971, 0.340, 0.340)
Co (0.000, 0.500, 0.500)
Co (0.500, 0.000, 0.500)
Co (0.500, 0.500, 0.000)

Peak list (6 most intense, 5° ≤ 2θ ≤ 70°, by angle)
d = 4.224 Å, intensity 100.0; d = 3.412 Å, intensity 89.5; d = 3.363 Å, intensity 67.2; d = 2.655 Å, intensity 92.6; d = 2.537 Å, intensity 88.3; d = 2.112 Å, intensity 70.7